Entry 1:
The following is a theoretical powder XRD pattern of Li8AsAu2. It was derived from a DFT-relaxed cell (PBE, Alexandria), using Cu Kα (λ = 1.5418 Å).

Cell lengths 4.323, 12.834, 6.524 Å; angles 90.00, 90.00, 90.00 degrees
Space group Imm2 (No. 44)
Symmetry-distinct sites (fractional):
Li1 0.000 0.000 0.000 [2 per cell]
Li2 0.000 0.110 0.662 [4 per cell]
Li3 0.000 0.308 0.989 [4 per cell]
Li4 0.000 0.342 0.487 [4 per cell]
Li5 0.000 0.500 0.828 [2 per cell]
As1 0.000 0.500 0.237 [2 per cell]
Au1 0.000 0.158 0.258 [4 per cell]

Top 10 peaks for 2θ from 10° to 90°, by angle:
h k l, 2theta, d_spacing, I/Imax
0 1 1, 15.24, 5.815, 25
1 0 1, 24.71, 3.604, 100
0 3 1, 24.89, 3.577, 98
0 0 2, 27.34, 3.262, 38
1 3 0, 29.37, 3.041, 64
1 3 2, 40.56, 2.224, 65
1 0 3, 46.76, 1.943, 19
0 3 3, 46.87, 1.938, 19
2 3 1, 49.25, 1.850, 32
1 6 1, 49.56, 1.839, 31


Entry 2:
The following is a theoretical powder XRD pattern of Li5AsAu6. It was derived from a DFT-relaxed cell (PBE, Alexandria), using Cu Kα (λ = 1.5418 Å).

Cell lengths 4.192, 7.391, 12.290 Å; angles 90.00, 90.00, 90.00 degrees
Space group Immm (No. 71)
Symmetry-distinct sites (fractional):
Li1 0.000 0.000 0.000 [2 per cell]
Li2 0.000 0.000 0.349 [4 per cell]
Li3 0.000 0.500 0.323 [4 per cell]
As1 0.000 0.500 0.000 [2 per cell]
Au1 0.000 0.236 0.170 [8 per cell]
Au2 0.000 0.286 0.500 [4 per cell]

Top 10 peaks for 2θ from 10° to 90°, by angle:
h k l, 2theta, d_spacing, I/Imax
0 2 0, 24.08, 3.696, 60
1 0 3, 30.51, 2.930, 74
1 2 3, 39.24, 2.296, 100
2 0 0, 43.16, 2.096, 21
0 0 6, 44.22, 2.048, 19
2 2 0, 50.03, 1.823, 18
0 2 6, 50.98, 1.792, 17
1 4 3, 59.11, 1.563, 16
2 2 6, 68.96, 1.362, 14
3 2 3, 76.51, 1.245, 16


Entry 3:
The following is a theoretical powder XRD pattern of Sr2LiAs4Au3. It was derived from a DFT-relaxed cell (PBE, Alexandria), using Cu Kα (λ = 1.5418 Å).

Cell lengths 4.434, 4.434, 11.342 Å; angles 90.00, 90.00, 90.00 degrees
Space group P-4m2 (No. 115)
Symmetry-distinct sites (fractional):
Sr1 0.000 0.500 0.243 [2 per cell]
Li1 0.500 0.500 0.000 [1 per cell]
As1 0.000 0.000 0.500 [1 per cell]
As2 0.000 0.500 0.866 [2 per cell]
As3 0.500 0.500 0.500 [1 per cell]
Au1 0.000 0.000 0.000 [1 per cell]
Au2 0.000 0.500 0.641 [2 per cell]

Top 10 peaks for 2θ from 10° to 90°, by angle:
h k l, 2theta, d_spacing, I/Imax
1 0 1, 21.52, 4.130, 68
1 0 2, 25.50, 3.493, 46
1 0 3, 31.09, 2.877, 69
1 1 2, 32.63, 2.744, 100
2 0 0, 40.69, 2.217, 82
1 1 4, 43.01, 2.103, 59
1 0 5, 44.88, 2.020, 53
2 1 3, 52.08, 1.756, 33
2 2 0, 58.91, 1.568, 28
2 1 5, 62.17, 1.493, 41


Entry 4:
The following is a theoretical powder XRD pattern of LiTiAs2Au. It was derived from a DFT-relaxed cell (PBE, Alexandria), using Cu Kα (λ = 1.5418 Å).

Cell lengths 4.805, 4.805, 5.187 Å; angles 90.00, 90.00, 90.00 degrees
Space group P4/mmm (No. 123)
Symmetry-distinct sites (fractional):
Li1 0.000 0.000 0.000 [1 per cell]
Ti1 0.000 0.000 0.500 [1 per cell]
As1 0.000 0.500 0.500 [2 per cell]
Au1 0.500 0.500 0.000 [1 per cell]

Top 10 peaks for 2θ from 10° to 90°, by angle:
h k l, 2theta, d_spacing, I/Imax
1 0 0, 18.47, 4.805, 35
1 0 1, 25.27, 3.525, 100
1 1 1, 31.48, 2.842, 96
0 0 2, 34.58, 2.594, 32
2 0 0, 37.44, 2.402, 51
2 1 1, 45.70, 1.985, 41
2 0 2, 51.88, 1.762, 40
3 1 1, 63.84, 1.458, 26
2 2 2, 65.71, 1.421, 19
2 0 4, 84.99, 1.141, 22


Entry 5:
The following is a theoretical powder XRD pattern of Mg6AsAu5. It was derived from a DFT-relaxed cell (PBE, Alexandria), using Cu Kα (λ = 1.5418 Å).

Cell lengths 8.100, 14.191, 4.676 Å; angles 90.00, 125.24, 90.00 degrees
Space group C2/m (No. 12)
Symmetry-distinct sites (fractional):
Mg1 0.249 0.000 0.250 [4 per cell]
Mg2 0.250 0.168 0.750 [8 per cell]
As1 0.000 0.500 0.000 [2 per cell]
Au1 0.000 0.000 0.500 [2 per cell]
Au2 0.000 0.163 0.000 [4 per cell]
Au3 0.000 0.328 0.500 [4 per cell]

Top 10 peaks for 2θ from 10° to 90°, by angle:
h k l, 2theta, d_spacing, I/Imax
1 3 -1, 26.81, 3.326, 70
2 0 0, 26.96, 3.308, 35
0 6 0, 38.05, 2.365, 25
1 3 1, 38.38, 2.345, 100
2 0 -2, 38.50, 2.338, 25
2 6 0, 47.25, 1.924, 16
2 6 -2, 55.24, 1.663, 17
3 3 1, 62.75, 1.481, 20
1 9 1, 68.97, 1.362, 17
2 0 2, 69.59, 1.351, 26


Entry 6:
The following is a theoretical powder XRD pattern of Mn2AsAu2. It was derived from a DFT-relaxed cell (PBE, Alexandria), using Cu Kα (λ = 1.5418 Å).

Cell lengths 7.567, 7.567, 3.133 Å; angles 90.00, 90.00, 90.00 degrees
Space group P4/mbm (No. 127)
Symmetry-distinct sites (fractional):
Mn1 0.162 0.338 0.000 [4 per cell]
As1 0.000 0.000 0.500 [2 per cell]
Au1 0.135 0.635 0.500 [4 per cell]

Top 10 peaks for 2θ from 10° to 90°, by angle:
h k l, 2theta, d_spacing, I/Imax
1 1 0, 16.57, 5.351, 23
2 1 0, 26.33, 3.384, 42
0 0 1, 28.49, 3.133, 26
3 1 0, 37.59, 2.393, 48
2 1 1, 39.19, 2.299, 100
3 1 1, 47.83, 1.902, 22
4 0 0, 48.09, 1.892, 14
3 2 1, 52.48, 1.744, 16
3 1 2, 72.07, 1.311, 14
5 2 1, 73.92, 1.282, 21


Entry 7:
The following is a theoretical powder XRD pattern of Na5As2Au. It was derived from a DFT-relaxed cell (PBE, Alexandria), using Cu Kα (λ = 1.5418 Å).

Cell lengths 5.1278, 5.1278, 18.0265 Å; angles 90.00, 90.00, 120.00 degrees
Space group P6_3/mmc (No. 194)
Symmetry-distinct sites (fractional):
Na1 0.0000 0.0000 0.1386 [4 per cell]
Na2 0.3333 0.6667 0.0528 [4 per cell]
Na3 0.3333 0.6667 0.2500 [2 per cell]
As1 0.3333 0.6667 0.6121 [4 per cell]
Au1 0.3333 0.6667 0.7500 [2 per cell]

Top 10 peaks for 2θ from 10° to 90°, by angle:
h k l, 2theta, d_spacing, I/Imax
1 0 0, 19.99, 4.441, 29
1 0 1, 20.60, 4.312, 100
1 1 0, 35.00, 2.564, 61
1 0 6, 36.09, 2.488, 16
1 0 7, 40.49, 2.228, 36
2 0 1, 40.95, 2.204, 18
1 1 6, 46.57, 1.950, 21
1 1 8, 54.19, 1.693, 18
2 1 1, 54.94, 1.671, 15
2 1 7, 66.49, 1.406, 16


Entry 8:
The following is a theoretical powder XRD pattern of Na4As2Au. It was derived from a DFT-relaxed cell (PBE, Alexandria), using Cu Kα (λ = 1.5418 Å).

Cell lengths 4.9993, 4.9993, 26.4954 Å; angles 90.00, 90.00, 120.00 degrees
Space group R-3m (No. 166, hexagonal axes)
Symmetry-distinct sites (fractional):
Na1 0.0000 0.0000 0.1154 [6 per cell]
Na2 0.0000 0.0000 0.2937 [6 per cell]
As1 0.0000 0.0000 0.4079 [6 per cell]
Au1 0.0000 0.0000 0.5000 [3 per cell]

Top 10 peaks for 2θ from 10° to 90°, by angle:
h k l, 2theta, d_spacing, I/Imax
0 0 3, 10.02, 8.832, 46
1 0 1, 20.79, 4.273, 100
0 1 2, 21.59, 4.115, 49
1 1 0, 35.93, 2.500, 56
1 0 10, 39.89, 2.260, 34
0 2 1, 41.87, 2.158, 17
0 1 11, 42.97, 2.105, 21
1 1 9, 47.73, 1.905, 16
2 1 1, 56.33, 1.633, 14
2 1 10, 67.24, 1.392, 14